(1)
For Na4Ni3Sb2O10, the PBE+U geometry in Alexandria gives the calculated PXRD pattern in this record (Cu Kα X-rays).
No peak broadening, texture or thermal motion is included.

Main lines, by angle (2θ = 10–80°):
2θ/deg, d/Å, I (rel.), h k l
16.16, 5.485, 100, 0 0 1
32.65, 2.743, 18, 0 0 2
33.93, 2.642, 21, 1 5 0
35.30, 2.543, 13, 2 0 0
35.40, 2.536, 25, 1 5 -1
40.06, 2.251, 58, 1 5 1
40.74, 2.215, 28, 2 0 -2
51.54, 1.773, 12, 1 5 2
56.71, 1.623, 17, 1 5 -3
60.18, 1.538, 16, 3 5 -1

Structural model:
a b c (Å): 5.3174 15.4622 5.7349
angles (deg): 90.00 106.97 90.00
Space group C2/m (No. 12)
Symmetry-distinct sites (fractional):
Na: 0.0000 0.0944 0.0000 [4 per cell]
Na: 0.0000 0.3015 0.0000 [4 per cell]
Ni: 0.0000 0.0000 0.5000 [2 per cell]
Ni: 0.0000 0.1998 0.5000 [4 per cell]
Sb: 0.0000 0.3969 0.5000 [4 per cell]
O: 0.2203 0.5000 0.6944 [4 per cell]
O: 0.2280 0.3052 0.7084 [8 per cell]
O: 0.2418 0.1017 0.6928 [8 per cell]

(2)
For Na2Si4NiO10, the PBE+U geometry in Alexandria gives the calculated PXRD pattern in this record (Cu Kα X-rays).
No peak broadening, texture or thermal motion is included.

Main lines, by angle (2θ = 10–80°):
2θ/deg, d/Å, I (rel.), h k l
13.35, 6.634, 87, 0 1 0
14.69, 6.028, 40, 1 0 -1
22.48, 3.955, 63, 1 1 -1
23.44, 3.796, 37, 1 -2 0
26.89, 3.316, 60, 0 2 0
28.08, 3.178, 100, 0 1 -3
28.99, 3.080, 36, -2 1 2
29.94, 2.985, 75, 2 -1 1
34.28, 2.616, 43, -2 2 2
38.55, 2.335, 38, 0 3 -1

Structural model:
a b c (Å): 7.0179 7.7728 9.8568
angles (deg): 101.62 102.75 115.11
Space group P-1 (No. 2)
Symmetry-distinct sites (fractional):
Na: 0.1561 0.2626 0.4792 [2 per cell]
Na: 0.2436 0.7766 0.9203 [2 per cell]
Si: 0.1063 0.8642 0.2406 [2 per cell]
Si: 0.2610 0.5647 0.3023 [2 per cell]
Si: 0.3133 0.1204 0.7503 [2 per cell]
Si: 0.4146 0.7901 0.6396 [2 per cell]
Ni: 0.2448 0.1871 0.0774 [2 per cell]
O: 0.0683 0.8962 0.0823 [2 per cell]
O: 0.0785 0.1269 0.6834 [2 per cell]
O: 0.0932 0.6449 0.2280 [2 per cell]
O: 0.1525 0.3276 0.2258 [2 per cell]
O: 0.2544 0.8980 0.6406 [2 per cell]
O: 0.2895 0.6041 0.4798 [2 per cell]
O: 0.3451 0.0447 0.3670 [2 per cell]
O: 0.3840 0.1409 0.9202 [2 per cell]
O: 0.4470 0.7137 0.7763 [2 per cell]
O: 0.4897 0.2974 0.7036 [2 per cell]

(3)
For NaSr12Ni7O23, the PBE+U geometry in Alexandria gives the calculated PXRD pattern in this record (Cu Kα X-rays).
No peak broadening, texture or thermal motion is included.

Main lines, by angle (2θ = 10–80°):
2θ/deg, d/Å, I (rel.), h k l
15.29, 5.796, 42, 1 0 -1
28.68, 3.113, 46, 2 -1 1
29.00, 3.079, 96, 2 2 1
31.68, 2.825, 48, 0 0 3
32.27, 2.774, 100, 0 3 0
43.30, 2.090, 28, 2 -2 2
43.71, 2.071, 26, 2 2 -2
44.11, 2.053, 25, -2 4 2
45.13, 2.009, 15, 4 0 0
56.74, 1.623, 15, 0 3 -3

Structural model:
a b c (Å): 8.0370 9.5530 9.7201
angles (deg): 60.68 89.40 89.98
Space group P1 (No. 1)
Symmetry-distinct sites (fractional):
Na: 0.0000 0.0000 0.0000 [1 per cell]
Sr: 0.0034 0.3620 0.6314 [1 per cell]
Sr: 0.2313 0.3227 0.9644 [1 per cell]
Sr: 0.2370 0.9736 0.7004 [1 per cell]
Sr: 0.2395 0.7040 0.3250 [1 per cell]
Sr: 0.5030 0.9790 0.3073 [1 per cell]
Sr: 0.5083 0.6964 0.9792 [1 per cell]
Sr: 0.5092 0.3196 0.7066 [1 per cell]
Sr: 0.7633 0.3110 0.0160 [1 per cell]
Sr: 0.7633 0.6687 0.3008 [1 per cell]
Sr: 0.7813 0.0324 0.6742 [1 per cell]
Sr: 0.9877 0.0022 0.3584 [1 per cell]
Sr: 0.9931 0.6383 0.9961 [1 per cell]
Ni: 0.0076 0.3384 0.3257 [1 per cell]
Ni: 0.1156 0.6665 0.6609 [1 per cell]
Ni: 0.3357 0.9931 0.9982 [1 per cell]
Ni: 0.4321 0.6675 0.6639 [1 per cell]
Ni: 0.6593 0.9997 0.9948 [1 per cell]
Ni: 0.6617 0.3173 0.3460 [1 per cell]
Ni: 0.7897 0.6541 0.6577 [1 per cell]
O: 0.0291 0.3072 0.1518 [1 per cell]
O: 0.0383 0.5450 0.2915 [1 per cell]
O: 0.0472 0.1634 0.5236 [1 per cell]
O: 0.2115 0.1669 0.8197 [1 per cell]
O: 0.2128 0.0051 0.1666 [1 per cell]
O: 0.2163 0.8226 0.9974 [1 per cell]
O: 0.2654 0.5222 0.6346 [1 per cell]
O: 0.2694 0.6457 0.8211 [1 per cell]
O: 0.2733 0.8310 0.5249 [1 per cell]
O: 0.5062 0.1553 0.0038 [1 per cell]
O: 0.5077 0.8322 0.1470 [1 per cell]
O: 0.5131 0.0081 0.8266 [1 per cell]
O: 0.5937 0.5523 0.8130 [1 per cell]
O: 0.5956 0.7058 0.5119 [1 per cell]
O: 0.6861 0.1042 0.4067 [1 per cell]
O: 0.6893 0.4870 0.1484 [1 per cell]
O: 0.7078 0.3672 0.5025 [1 per cell]
O: 0.7824 0.9901 0.1646 [1 per cell]
O: 0.7884 0.8422 0.9798 [1 per cell]
O: 0.7889 0.1735 0.8422 [1 per cell]
O: 0.9640 0.8070 0.6868 [1 per cell]
O: 0.9733 0.4985 0.8035 [1 per cell]
O: 0.9764 0.6892 0.4952 [1 per cell]

(4)
For Na4Ni3TeO8, the PBE+U geometry in Alexandria gives the calculated PXRD pattern in this record (Cu Kα X-rays).
No peak broadening, texture or thermal motion is included.

Main lines, by angle (2θ = 10–80°):
2θ/deg, d/Å, I (rel.), h k l
16.53, 5.363, 81, 0 0 3
17.40, 5.096, 15, 1 0 1
33.40, 2.682, 23, 0 0 6
33.83, 2.650, 25, 0 2 1
35.22, 2.548, 44, 2 0 2
40.37, 2.234, 100, 0 2 4
52.39, 1.747, 14, 0 2 7
57.22, 1.610, 29, 2 0 8
59.61, 1.551, 29, 2 2 0
70.08, 1.343, 14, 2 2 6

Structural model:
a b c (Å): 6.2043 6.2043 16.0903
angles (deg): 90.00 90.00 120.00
Space group R-3m (No. 166, hexagonal axes)
Symmetry-distinct sites (fractional):
Na: 0.0000 0.0000 0.0000 [3 per cell]
Na: 0.0000 0.5000 0.0000 [9 per cell]
Ni: 0.0000 0.5000 0.5000 [9 per cell]
Te: 0.0000 0.0000 0.5000 [3 per cell]
O: 0.0000 0.0000 0.2308 [6 per cell]
O: 0.0276 0.5138 0.2350 [18 per cell]

(5)
For Na2ZrNiO4, the PBE+U geometry in Alexandria gives the calculated PXRD pattern in this record (Cu Kα X-rays).
No peak broadening, texture or thermal motion is included.

Main lines, by angle (2θ = 10–80°):
2θ/deg, d/Å, I (rel.), h k l
16.14, 5.491, 100, 0 0 1
32.61, 2.746, 23, 0 0 2
32.96, 2.717, 21, 1 1 0
34.25, 2.618, 37, 1 1 -1
35.05, 2.560, 18, 2 0 0
39.41, 2.286, 89, 1 1 1
39.74, 2.268, 44, 2 0 -2
55.58, 1.654, 27, 1 1 -3
57.48, 1.603, 13, 0 2 0
58.81, 1.570, 25, 3 1 -1

Structural model:
a b c (Å): 5.4026 3.2064 5.7948
angles (deg): 90.00 108.62 90.00
Space group P2/m (No. 10)
Symmetry-distinct sites (fractional):
Na: 0.0000 0.0000 0.0000 [1 per cell]
Na: 0.5000 0.5000 0.0000 [1 per cell]
Zr: 0.0000 0.5000 0.5000 [1 per cell]
Ni: 0.5000 0.0000 0.5000 [1 per cell]
O: 0.2274 0.0000 0.7120 [2 per cell]
O: 0.2613 0.5000 0.2960 [2 per cell]

Which formula does entry 3 have?
NaSr12Ni7O23